This entry pairs a crystal structure of DyTa3Cu5 with its simulated XRD peak list. Radiation: Cu Kα, 1.54184 Å. Structure: a cell relaxed with PBE.
Neutral-atom scattering factors, no anomalous dispersion.

Largest 12 diffraction maxima, in order of rising 2θ, 10 to 90 degrees two-theta:
2θ (°)  Rel. int.
25.54  44
29.90  39
32.48  32
35.88  26
38.28  24
38.66  82
40.04  65
40.75  100
41.76  24
52.47  24
62.11  23
74.60  16

a b c (Å): 4.5136 5.5130 5.9903
angles (deg): 90.00 93.77 90.00
Positions (direct):
Dy (0.0000, 0.0000, 0.0000)
Ta (0.0000, 0.2072, 0.5000)
Ta (0.5000, 0.5009, 0.5000)
Ta (0.5000, 0.5100, 0.0000)
Cu (0.0000, 0.7625, 0.5000)
Cu (0.0138, 0.4989, 0.1937)
Cu (0.4937, 0.9537, 0.7043)
Cu (0.5063, 0.9537, 0.2957)
Cu (0.9862, 0.4989, 0.8063)

***

This entry pairs a crystal structure of Y3ErTm2Sb2Os with its simulated XRD peak list. Radiation: Cu Kα, 1.54184 Å. Structure: a cell relaxed with PBE.
Neutral-atom scattering factors, no anomalous dispersion.

Largest 12 diffraction maxima, in order of rising 2θ, 10 to 90 degrees two-theta:
2θ (°)  Rel. int.
12.57  58
30.56  86
33.16  100
33.67  65
38.34  40
40.07  98
42.94  32
55.64  31
58.91  23
60.22  19
61.47  39
76.76  34

a b c (Å): 4.2126 8.1320 8.1320
angles (deg): 120.00 90.00 90.00
Positions (direct):
Y (0.0000, 0.0000, 0.0000)
Y (0.0000, 0.2104, 0.6055)
Y (0.0000, 0.6055, 0.2104)
Er (0.5000, 0.3707, 0.3707)
Tm (0.5000, 0.6054, 0.8397)
Tm (0.5000, 0.8397, 0.6054)
Sb (0.5000, 0.2720, 0.9383)
Sb (0.5000, 0.9383, 0.2720)
Os (0.0000, 0.6063, 0.6063)

***

This entry pairs a crystal structure of CsCdC3S3N3 with its simulated XRD peak list. Radiation: Cu Kα, 1.54184 Å. Structure: a cell relaxed with PBE.
Neutral-atom scattering factors, no anomalous dispersion.

Largest 12 diffraction maxima, in order of rising 2θ, 10 to 90 degrees two-theta:
2θ (°)  Rel. int.
16.33  100
20.60  100
20.75  98
24.83  36
24.95  46
29.86  100
31.10  64
31.40  65
33.58  27
41.32  30
41.39  25
41.74  28

a b c (Å): 10.8570 7.1702 16.3378
angles (deg): 90.00 130.93 90.00
Positions (direct):
Cs (0.1905, 0.0186, 0.2025)
Cs (0.1905, 0.4814, 0.7025)
Cs (0.8095, 0.5186, 0.2975)
Cs (0.8095, 0.9814, 0.7975)
Cd (0.0000, 0.0000, 0.5000)
Cd (0.0000, 0.5000, 0.0000)
Cd (0.5000, 0.0000, 0.0000)
Cd (0.5000, 0.5000, 0.5000)
C (0.1410, 0.5366, 0.2515)
C (0.1410, 0.9634, 0.7515)
C (0.2540, 0.2251, 0.5074)
C (0.2540, 0.2749, 0.0074)
C (0.3341, 0.7222, 0.6000)
C (0.3341, 0.7778, 0.1000)
C (0.6659, 0.2222, 0.9000)
C (0.6659, 0.2778, 0.4000)
C (0.7460, 0.7251, 0.9926)
C (0.7460, 0.7749, 0.4926)
C (0.8590, 0.0366, 0.2485)
C (0.8590, 0.4634, 0.7485)
S (0.1849, 0.6441, 0.3558)
S (0.1849, 0.8559, 0.8558)
S (0.3899, 0.1644, 0.4986)
S (0.3899, 0.3356, 0.9986)
S (0.4908, 0.1167, 0.8331)
S (0.4908, 0.3833, 0.3331)
S (0.5092, 0.6167, 0.6669)
S (0.5092, 0.8833, 0.1669)
S (0.6101, 0.6644, 0.0014)
S (0.6101, 0.8356, 0.5014)
S (0.8151, 0.1441, 0.1442)
S (0.8151, 0.3559, 0.6442)
N (0.1090, 0.0415, 0.6757)
N (0.1090, 0.4584, 0.1757)
N (0.1529, 0.2382, 0.0131)
N (0.1529, 0.2618, 0.5131)
N (0.2058, 0.7062, 0.0548)
N (0.2058, 0.7938, 0.5548)
N (0.7942, 0.2062, 0.4452)
N (0.7942, 0.2938, 0.9452)
N (0.8471, 0.7382, 0.4869)
N (0.8471, 0.7618, 0.9869)
N (0.8910, 0.5416, 0.8243)
N (0.8910, 0.9584, 0.3243)